Starting from DFT lattice parameters and positions (GGA-PBE), the PXRD pattern of Rb3NaAs2Au2 was calculated for Cu Kα (weighted mean of Kα1 and Kα2).
Kinematic intensities with the Lorentz-polarization factor, no thermal factor.

The 10 most intense peaks (2θ = 5–70°), in order of rising 2θ:
- (0 0 1), 14.27°, intensity 84.1
- (1 0 0), 14.44°, intensity 58.9
- (1 0 -1), 17.40°, intensity 67.4
- (1 0 -2), 28.56°, intensity 35.1
- (2 0 -1), 28.81°, intensity 63.2
- (1 2 0), 31.46°, intensity 100.0
- (1 1 -2), 31.85°, intensity 34.6
- (2 1 -1), 32.07°, intensity 34.9
- (1 2 1), 36.38°, intensity 63.1
- (0 2 2), 40.47°, intensity 37.0

Structure:
a b c (Å): 6.367 6.411 6.440
angles (deg): 90.00 105.52 90.00
Element x y z (fractional)
1 Rb 0.000 0.000 0.000
2 Rb 0.059 0.500 0.350
3 Rb 0.702 0.500 0.684
4 Na 0.382 0.000 0.680
5 As 0.273 0.500 0.904
6 As 0.744 0.000 0.437
7 Au 0.522 0.250 0.159
8 Au 0.522 0.750 0.159